Starting from a crystal structure in the Materials Project, relaxed with GGA-PBE, the XRD peak list of LuBeNF6 was calculated for λ = 1.5418 Å (Cu Kα).

Atomic structure:
a b c (Å): 6.497 5.938 7.222
angles (deg): 90.00 110.51 90.00
Space group P2_1/m (No. 11)
Inequivalent atoms, fractional coordinates:
Lu  0.155  0.250  0.236 (multiplicity 2)
Be  0.270  0.750  0.542 (multiplicity 2)
N  0.239  0.250  0.853 (multiplicity 2)
F  0.094  0.750  0.639 (multiplicity 2)
F  0.152  0.056  0.953 (multiplicity 4)
F  0.248  0.540  0.406 (multiplicity 4)
F  0.498  0.250  0.294 (multiplicity 2)

Most intense lines, 5 to 70 degrees two-theta, low angle first:
- (1 0 0), d = 6.086 Å, I = 40
- (1 0 -1), d = 5.605 Å, I = 61
- (0 1 1), d = 4.462 Å, I = 100
- (1 1 0), d = 4.250 Å, I = 50
- (1 1 1), d = 3.257 Å, I = 26
- (1 1 -2), d = 3.032 Å, I = 24
- (2 1 0), d = 2.708 Å, I = 20
- (0 2 2), d = 2.231 Å, I = 24
- (3 0 0), d = 2.031 Å, I = 21
- (0 3 1), d = 1.899 Å, I = 24


Starting from a crystal structure in the Materials Project, relaxed with GGA-PBE, the XRD peak list of RbLuBeF6 was calculated for λ = 1.5418 Å (Cu Kα).

Atomic structure:
a b c (Å): 6.500 5.780 7.092
angles (deg): 90.00 113.72 90.00
Space group P2_1/m (No. 11)
Inequivalent atoms, fractional coordinates:
Rb  0.076  0.250  0.208 (multiplicity 2)
Lu  0.392  0.250  0.822 (multiplicity 2)
Be  0.235  0.750  0.465 (multiplicity 2)
F  0.005  0.750  0.267 (multiplicity 2)
F  0.241  0.531  0.599 (multiplicity 4)
F  0.330  0.501  0.032 (multiplicity 4)
F  0.434  0.750  0.399 (multiplicity 2)

Most intense lines, 5 to 70 degrees two-theta, low angle first:
- (1 0 -1), d = 5.667 Å, I = 40
- (0 1 1), d = 4.317 Å, I = 33
- (1 1 0), d = 4.146 Å, I = 45
- (1 1 -1), d = 4.047 Å, I = 33
- (2 0 -1), d = 3.245 Å, I = 60
- (1 1 1), d = 3.120 Å, I = 100
- (1 1 -2), d = 2.996 Å, I = 76
- (0 2 0), d = 2.890 Å, I = 31
- (2 2 -1), d = 2.158 Å, I = 58
- (0 2 3), d = 1.732 Å, I = 27


Starting from a crystal structure in the Materials Project, relaxed with GGA-PBE, the XRD peak list of BeNF3 was calculated for λ = 1.5418 Å (Cu Kα).

Atomic structure:
a b c (Å): 4.720 4.815 12.895
angles (deg): 90.00 90.00 90.00
Space group Pnma (No. 62)
Inequivalent atoms, fractional coordinates:
Be  0.106  0.250  0.185 (multiplicity 4)
N  0.028  0.250  0.891 (multiplicity 4)
F  0.191  0.509  0.112 (multiplicity 8)
F  0.208  0.750  0.784 (multiplicity 4)

Most intense lines, 5 to 70 degrees two-theta, low angle first:
- (0 0 2), d = 6.447 Å, I = 37
- (0 1 1), d = 4.511 Å, I = 38
- (1 0 1), d = 4.432 Å, I = 100
- (1 0 2), d = 3.808 Å, I = 90
- (0 0 4), d = 3.224 Å, I = 48
- (0 1 3), d = 3.207 Å, I = 69
- (1 0 3), d = 3.178 Å, I = 30
- (1 2 2), d = 2.035 Å, I = 57
- (1 0 6), d = 1.956 Å, I = 28
- (2 2 4), d = 1.494 Å, I = 20


Starting from a crystal structure in the Materials Project, relaxed with GGA-PBE, the XRD peak list of BeNF3 was calculated for λ = 1.5418 Å (Cu Kα).

Atomic structure:
a b c (Å): 6.174 4.724 13.986
angles (deg): 90.00 110.71 90.00
Space group P2_1/c (No. 14)
Inequivalent atoms, fractional coordinates:
Be  0.098  0.086  0.307 (multiplicity 4)
N  0.328  0.600  0.608 (multiplicity 4)
F  0.064  0.099  0.779 (multiplicity 4)
F  0.229  0.646  0.108 (multiplicity 4)
F  0.264  0.527  0.896 (multiplicity 4)

Most intense lines, 5 to 70 degrees two-theta, low angle first:
- (1 0 0), d = 5.775 Å, I = 58
- (0 1 1), d = 4.443 Å, I = 41
- (0 1 2), d = 3.830 Å, I = 92
- (1 0 2), d = 3.724 Å, I = 52
- (1 1 0), d = 3.656 Å, I = 44
- (1 0 -4), d = 3.409 Å, I = 46
- (0 0 4), d = 3.270 Å, I = 43
- (2 0 -2), d = 3.073 Å, I = 47
- (2 0 -4), d = 2.687 Å, I = 100
- (1 1 4), d = 2.205 Å, I = 40